The following is a simulated powder X-ray diffraction pattern of Li2Ti4VO8. It was derived from a DFT-relaxed cell (PBE+U, Alexandria), using Cu Kα.
Intensities are scaled so that the largest is 100.

Atomic structure:
Cell lengths 5.919, 5.919, 5.926 Å; angles 119.78, 119.78, 59.43 degrees
Element x y z (fractional)
Li (0.000, 0.500, 0.000)
Li (0.500, 0.000, 0.000)
Ti (0.000, 0.000, 0.000)
Ti (0.000, 0.500, 0.500)
Ti (0.500, 0.000, 0.500)
Ti (0.500, 0.500, 0.500)
V (0.500, 0.500, 0.000)
O (0.249, 0.249, 0.243)
O (0.250, 0.748, 0.749)
O (0.252, 0.750, 0.251)
O (0.255, 0.255, 0.732)
O (0.745, 0.745, 0.268)
O (0.748, 0.250, 0.749)
O (0.750, 0.252, 0.251)
O (0.751, 0.751, 0.757)

Top 12 peaks for 10° ≤ 2θ ≤ 80°, low angle first:
- 4.838 Å, 2θ 18.34, rel. 79
- 4.817 Å, 2θ 18.42, rel. 20
- 4.170 Å, 2θ 21.31, rel. 11
- 2.546 Å, 2θ 35.26, rel. 12
- 2.512 Å, 2θ 35.75, rel. 24
- 2.409 Å, 2θ 37.34, rel. 16
- 2.109 Å, 2θ 42.89, rel. 52
- 2.085 Å, 2θ 43.40, rel. 100
- 1.485 Å, 2θ 62.53, rel. 28
- 1.480 Å, 2θ 62.77, rel. 41
- 1.467 Å, 2θ 63.40, rel. 13
- 1.204 Å, 2θ 79.61, rel. 12